No. 1
Theoretical X-ray diffraction stick pattern of SmGa2Au7 for λ = 1.5418 Å (Cu Kα), from a structure optimized by DFT (GGA-PBE).
Intensities are scaled so that the largest is 100.

Largest 10 diffraction maxima, most intense first, 5 to 70 degrees two-theta:
two_theta, Rel. int., h k l
36.71, 100, 2 4 0
41.59, 99, 1 5 1
41.23, 92, 3 1 1
37.71, 83, 0 0 2
33.56, 81, 0 4 1
53.64, 68, 2 4 2
18.60, 58, 0 0 1
30.23, 58, 2 0 1
23.17, 50, 0 2 1
13.62, 26, 1 1 0

Atomic structure:
```
data_SmGa2Au7
_cell_length_a 7.5320
_cell_length_b 12.8873
_cell_length_c 4.7714
_cell_angle_alpha 90.00
_cell_angle_beta 90.00
_cell_angle_gamma 90.00
_space_group_name_H-M_alt 'C m m m'
_space_group_IT_number 65
_space_group_name_Hall '-C 2 2'
loop_
_atom_site_label
_atom_site_fract_x
_atom_site_fract_y
_atom_site_fract_z
Sm1 0.0000 0.0000 0.0000
Ga1 0.0000 0.2988 0.5000
Au1 0.0000 0.2274 0.0000
Au2 0.0000 0.5000 0.5000
Au3 0.1854 0.1160 0.5000
```

No. 2
Theoretical X-ray diffraction stick pattern of Co5NiRh for λ = 1.5418 Å (Cu Kα), from a structure optimized by DFT (GGA-PBE).
Intensities are scaled so that the largest is 100.

Largest 10 diffraction maxima, most intense first, 5 to 70 degrees two-theta:
two_theta, Rel. int., h k l
45.22, 100, 2 2 2
46.88, 23, 0 4 0
50.03, 21, 4 0 0
45.51, 15, 2 3 1
30.79, 13, 2 1 1
46.04, 11, 0 1 3
33.76, 8, 2 2 0
24.41, 8, 2 0 0
60.57, 7, 0 0 4
18.48, 4, 0 1 1

Atomic structure:
```
data_Co5NiRh
_cell_length_a 7.2931
_cell_length_b 7.7528
_cell_length_c 6.1148
_cell_angle_alpha 90.00
_cell_angle_beta 90.00
_cell_angle_gamma 90.00
_space_group_name_H-M_alt 'I m m a'
_space_group_IT_number 74
_space_group_name_Hall '-I 2b 2'
loop_
_atom_site_label
_atom_site_fract_x
_atom_site_fract_y
_atom_site_fract_z
Co1 0.0000 0.0278 0.2285
Co2 0.0000 0.2500 0.9554
Co3 0.2408 0.0000 0.5000
Ni1 0.2500 0.2500 0.2500
Rh1 0.0000 0.2500 0.5466
```

No. 3
Theoretical X-ray diffraction stick pattern of NbV2H4 for λ = 1.5418 Å (Cu Kα), from a structure optimized by DFT (GGA-PBE).
Intensities are scaled so that the largest is 100.

Largest 10 diffraction maxima, most intense first, 5 to 70 degrees two-theta:
two_theta, Rel. int., h k l
39.72, 100, 1 2 1
33.19, 54, 1 1 2
38.68, 53, 1 0 3
41.20, 33, 2 0 2
33.79, 24, 2 0 0
69.67, 24, 2 2 4
64.44, 22, 2 3 1
60.06, 20, 1 3 2
62.23, 13, 1 0 5
63.71, 12, 3 0 3

Atomic structure:
```
data_NbV2H4
_cell_length_a 5.3056
_cell_length_b 5.3056
_cell_length_c 7.7726
_cell_angle_alpha 90.00
_cell_angle_beta 90.00
_cell_angle_gamma 90.00
_space_group_name_H-M_alt 'I 41/a'
_space_group_IT_number 88
loop_
_space_group_symop_operation_xyz
'x,y,z'
'-x,-y,-z'
'-y+3/4,x+1/4,z+1/4'
'y+3/4,-x+1/4,-z+1/4'
'-x+1/2,-y,z+1/2'
'x+1/2,y,-z+1/2'
'y+3/4,-x+3/4,z+3/4'
'-y+3/4,x+3/4,-z+3/4'
'x+1/2,y+1/2,z+1/2'
'-x+1/2,-y+1/2,-z+1/2'
'-y+1/4,x+3/4,z+3/4'
'y+1/4,-x+3/4,-z+3/4'
'-x,-y+1/2,z'
'x,y+1/2,-z'
'y+1/4,-x+1/4,z+1/4'
'-y+1/4,x+1/4,-z+1/4'
loop_
_atom_site_label
_atom_site_fract_x
_atom_site_fract_y
_atom_site_fract_z
Nb1 0.0000 0.2500 0.1250
V1 0.0000 0.0000 0.5000
H1 0.1734 0.0682 0.9387
```

No. 4
Theoretical X-ray diffraction stick pattern of LiPuInPb for λ = 1.5418 Å (Cu Kα), from a structure optimized by DFT (GGA-PBE).
Intensities are scaled so that the largest is 100.

Largest 10 diffraction maxima, most intense first, 5 to 70 degrees two-theta:
two_theta, Rel. int., h k l
35.03, 100, 1 1 1
16.13, 50, 0 1 0
32.08, 31, 0 0 2
32.60, 30, 0 2 0
46.39, 23, 0 2 2
59.11, 23, 1 1 3
30.88, 22, 1 0 1
59.75, 22, 1 3 1
45.52, 16, 1 2 1
36.11, 15, 0 1 2

Atomic structure:
```
data_LiPuInPb
_cell_length_a 3.3871
_cell_length_b 5.4934
_cell_length_c 5.5798
_cell_angle_alpha 90.00
_cell_angle_beta 90.00
_cell_angle_gamma 90.00
_space_group_name_H-M_alt 'P m m m'
_space_group_IT_number 47
loop_
_space_group_symop_operation_xyz
'x,y,z'
'-x,-y,-z'
'-x,-y,z'
'x,y,-z'
'x,-y,-z'
'-x,y,z'
'-x,y,-z'
'x,-y,z'
loop_
_atom_site_label
_atom_site_fract_x
_atom_site_fract_y
_atom_site_fract_z
Li1 0.0000 0.0000 0.0000
Pu1 0.0000 0.5000 0.5000
In1 0.5000 0.0000 0.5000
Pb1 0.5000 0.5000 0.0000
```

No. 5
Theoretical X-ray diffraction stick pattern of LaHgTe for λ = 1.5418 Å (Cu Kα), from a structure optimized by DFT (GGA-PBE).
Intensities are scaled so that the largest is 100.

Largest 10 diffraction maxima, most intense first, 5 to 70 degrees two-theta:
two_theta, Rel. int., h k l
31.56, 100, 1 0 7
34.60, 99, 1 1 0
47.51, 56, 0 2 7
10.38, 39, 0 0 3
60.12, 27, 2 1 7
20.97, 27, 0 1 2
62.01, 18, 3 0 0
34.44, 18, 0 1 8
65.52, 15, 1 1 15
36.22, 14, 1 1 3

Atomic structure:
```
data_LaHgTe
_cell_length_a 5.1847
_cell_length_b 5.1847
_cell_length_c 25.5693
_cell_angle_alpha 90.00
_cell_angle_beta 90.00
_cell_angle_gamma 120.00
_space_group_name_H-M_alt 'R -3 m'
_space_group_IT_number 166
_space_group_name_Hall '-R 3 2"'
loop_
_atom_site_label
_atom_site_fract_x
_atom_site_fract_y
_atom_site_fract_z
La1 0.0000 0.0000 0.0796
Hg1 0.0000 0.0000 0.3372
Te1 0.0000 0.0000 0.2120
```

No. 6
Theoretical X-ray diffraction stick pattern of ReNiPd3 for λ = 1.5418 Å (Cu Kα), from a structure optimized by DFT (GGA-PBE).
Intensities are scaled so that the largest is 100.

Largest 10 diffraction maxima, most intense first, 5 to 70 degrees two-theta:
two_theta, Rel. int., h k l
37.71, 100, 2 0 0
18.60, 92, 1 0 0
54.39, 68, 2 2 0
42.36, 45, 2 1 0
26.42, 30, 1 1 0
32.50, 26, 1 1 1
57.99, 23, 3 0 0
68.07, 23, 2 2 2
46.63, 13, 2 1 1
64.81, 9, 3 1 1

Atomic structure:
```
data_ReNiPd3
_cell_length_a 4.7712
_cell_length_b 4.7712
_cell_length_c 4.7712
_cell_angle_alpha 90.00
_cell_angle_beta 90.00
_cell_angle_gamma 90.00
_space_group_name_H-M_alt 'P m -3 m'
_space_group_IT_number 221
_space_group_name_Hall '-P 4 2 3'
loop_
_atom_site_label
_atom_site_fract_x
_atom_site_fract_y
_atom_site_fract_z
Re1 0.0000 0.0000 0.0000
Ni1 0.5000 0.5000 0.5000
Pd1 0.0000 0.0000 0.5000
```

No. 7
Theoretical X-ray diffraction stick pattern of Ga3Ag4 for λ = 1.5418 Å (Cu Kα), from a structure optimized by DFT (GGA-PBE).
Intensities are scaled so that the largest is 100.

Largest 10 diffraction maxima, most intense first, 5 to 70 degrees two-theta:
two_theta, Rel. int., h k l
38.99, 100, 4 1 0
38.46, 93, 1 2 2
55.93, 27, 6 -2 2
27.12, 9, 3 -1 1
69.21, 8, 3 -1 4
44.00, 7, 4 -1 2
35.43, 6, 2 0 2
65.26, 3, 1 0 4
49.03, 3, 2 3 2
40.29, 2, 5 -2 1

Atomic structure:
```
data_Ga3Ag4
_cell_length_a 12.2228
_cell_length_b 12.2228
_cell_length_c 5.7719
_cell_angle_alpha 90.00
_cell_angle_beta 90.00
_cell_angle_gamma 120.00
_space_group_name_H-M_alt 'R -3'
_space_group_IT_number 148
_space_group_name_Hall '-R 3'
loop_
_atom_site_label
_atom_site_fract_x
_atom_site_fract_y
_atom_site_fract_z
Ga1 0.0500 0.8176 0.2078
Ag1 0.0000 0.0000 0.0000
Ag2 0.0000 0.0000 0.5000
Ag3 0.0515 0.8003 0.7008
```

No. 8
Theoretical X-ray diffraction stick pattern of BaNaAl for λ = 1.5418 Å (Cu Kα), from a structure optimized by DFT (GGA-PBE).
Intensities are scaled so that the largest is 100.

Largest 10 diffraction maxima, most intense first, 5 to 70 degrees two-theta:
two_theta, Rel. int., h k l
26.34, 100, 2 1 1
21.81, 49, 0 1 1
14.58, 32, 2 0 0
22.91, 32, 1 0 2
26.24, 30, 2 0 2
38.86, 30, 1 1 3
31.11, 26, 3 1 1
54.18, 20, 6 1 2
36.88, 18, 4 0 2
38.34, 18, 0 2 0

Atomic structure:
```
data_BaNaAl
_cell_length_a 12.1509
_cell_length_b 4.6959
_cell_length_c 8.1929
_cell_angle_alpha 90.00
_cell_angle_beta 90.00
_cell_angle_gamma 90.00
_space_group_name_H-M_alt 'P n m a'
_space_group_IT_number 62
loop_
_space_group_symop_operation_xyz
'x,y,z'
'-x,-y,-z'
'-x+1/2,-y,z+1/2'
'x+1/2,y,-z+1/2'
'x+1/2,-y+1/2,-z+1/2'
'-x+1/2,y+1/2,z+1/2'
'-x,y+1/2,-z'
'x,-y+1/2,z'
loop_
_atom_site_label
_atom_site_fract_x
_atom_site_fract_y
_atom_site_fract_z
Ba1 0.2195 0.2500 0.1911
Na1 0.0220 0.2500 0.6563
Al1 0.0535 0.7500 0.9889
```

No. 9
Theoretical X-ray diffraction stick pattern of Er2Tm3Tl7 for λ = 1.5418 Å (Cu Kα), from a structure optimized by DFT (GGA-PBE).
Intensities are scaled so that the largest is 100.

Largest 10 diffraction maxima, most intense first, 5 to 70 degrees two-theta:
two_theta, Rel. int., h k l
34.24, 100, 2 0 0
33.65, 23, 0 0 2
48.73, 16, 2 0 2
60.57, 15, 1 7 3
61.26, 15, 3 7 1
29.56, 13, 1 5 1
6.89, 7, 0 2 0
61.39, 5, 0 14 2
61.74, 5, 2 14 0
49.73, 5, 0 14 0

Atomic structure:
```
data_Er2Tm3Tl7
_cell_length_a 5.2452
_cell_length_b 25.6668
_cell_length_c 5.3268
_cell_angle_alpha 90.00
_cell_angle_beta 90.00
_cell_angle_gamma 90.00
_space_group_name_H-M_alt 'C m m m'
_space_group_IT_number 65
_space_group_name_Hall '-C 2 2'
loop_
_atom_site_label
_atom_site_fract_x
_atom_site_fract_y
_atom_site_fract_z
Er1 0.0000 0.1534 0.0000
Tm1 0.0000 0.3497 0.5000
Tm2 0.0000 0.5000 0.5000
Tl1 0.0000 0.0000 0.0000
Tl2 0.0000 0.0818 0.5000
Tl3 0.0000 0.2802 0.0000
Tl4 0.0000 0.4242 0.0000
```

No. 10
Theoretical X-ray diffraction stick pattern of LaOsRh2O8 for λ = 1.5418 Å (Cu Kα), from a structure optimized by DFT (GGA-PBE).
Intensities are scaled so that the largest is 100.

Largest 10 diffraction maxima, most intense first, 5 to 70 degrees two-theta:
two_theta, Rel. int., h k l
32.95, 100, 1 1 2
26.31, 58, 0 2 0
26.84, 56, 2 0 0
50.81, 40, 1 3 2
51.42, 36, 3 1 2
37.94, 27, 2 2 0
65.39, 21, 3 3 2
62.30, 18, 0 2 4
55.36, 18, 0 0 4
69.11, 11, 2 2 4

Atomic structure:
```
data_LaOsRh2O8
_cell_length_a 6.6427
_cell_length_b 6.7738
_cell_length_c 6.6348
_cell_angle_alpha 90.00
_cell_angle_beta 90.00
_cell_angle_gamma 90.00
_space_group_name_H-M_alt 'C m m m'
_space_group_IT_number 65
_space_group_name_Hall '-C 2 2'
loop_
_atom_site_label
_atom_site_fract_x
_atom_site_fract_y
_atom_site_fract_z
La1 0.0000 0.0000 0.0000
Os1 0.0000 0.0000 0.5000
Rh1 0.0000 0.5000 0.2590
O1 0.0000 0.2937 0.5000
O2 0.0000 0.3304 0.0000
O3 0.2010 0.0000 0.2922
```

No. 11
Theoretical X-ray diffraction stick pattern of Ac2ZrAg for λ = 1.5418 Å (Cu Kα), from a structure optimized by DFT (GGA-PBE).
Intensities are scaled so that the largest is 100.

Largest 10 diffraction maxima, most intense first, 5 to 70 degrees two-theta:
two_theta, Rel. int., h k l
30.92, 100, 1 0 2
33.50, 41, 1 1 0
58.29, 33, 2 1 2
53.29, 21, 1 1 4
48.11, 15, 2 0 0
23.52, 13, 1 0 0
40.19, 12, 0 0 4
64.43, 12, 2 0 4
67.31, 9, 1 0 6
19.78, 9, 0 0 2

Atomic structure:
```
data_Ac2ZrAg
_cell_length_a 3.7827
_cell_length_b 3.7827
_cell_length_c 8.9757
_cell_angle_alpha 90.00
_cell_angle_beta 90.00
_cell_angle_gamma 90.00
_space_group_name_H-M_alt 'P 4/m m m'
_space_group_IT_number 123
_space_group_name_Hall '-P 4 2'
loop_
_atom_site_label
_atom_site_fract_x
_atom_site_fract_y
_atom_site_fract_z
Ac1 0.0000 0.0000 0.2367
Zr1 0.5000 0.5000 0.5000
Ag1 0.5000 0.5000 0.0000
```

Copy entry 3 word for word.
Theoretical X-ray diffraction stick pattern of NbV2H4 for λ = 1.5418 Å (Cu Kα), from a structure optimized by DFT (GGA-PBE).
Intensities are scaled so that the largest is 100.

Largest 10 diffraction maxima, most intense first, 5 to 70 degrees two-theta:
two_theta, Rel. int., h k l
39.72, 100, 1 2 1
33.19, 54, 1 1 2
38.68, 53, 1 0 3
41.20, 33, 2 0 2
33.79, 24, 2 0 0
69.67, 24, 2 2 4
64.44, 22, 2 3 1
60.06, 20, 1 3 2
62.23, 13, 1 0 5
63.71, 12, 3 0 3

Atomic structure:
```
data_NbV2H4
_cell_length_a 5.3056
_cell_length_b 5.3056
_cell_length_c 7.7726
_cell_angle_alpha 90.00
_cell_angle_beta 90.00
_cell_angle_gamma 90.00
_space_group_name_H-M_alt 'I 41/a'
_space_group_IT_number 88
loop_
_space_group_symop_operation_xyz
'x,y,z'
'-x,-y,-z'
'-y+3/4,x+1/4,z+1/4'
'y+3/4,-x+1/4,-z+1/4'
'-x+1/2,-y,z+1/2'
'x+1/2,y,-z+1/2'
'y+3/4,-x+3/4,z+3/4'
'-y+3/4,x+3/4,-z+3/4'
'x+1/2,y+1/2,z+1/2'
'-x+1/2,-y+1/2,-z+1/2'
'-y+1/4,x+3/4,z+3/4'
'y+1/4,-x+3/4,-z+3/4'
'-x,-y+1/2,z'
'x,y+1/2,-z'
'y+1/4,-x+1/4,z+1/4'
'-y+1/4,x+1/4,-z+1/4'
loop_
_atom_site_label
_atom_site_fract_x
_atom_site_fract_y
_atom_site_fract_z
Nb1 0.0000 0.2500 0.1250
V1 0.0000 0.0000 0.5000
H1 0.1734 0.0682 0.9387
```

- Number 8 is which compound?
  BaNaAl